Structure and simulated powder diffractogram of MgZn2Ni4S10 (a PBE-relaxed structure; λ = 1.5418 Å (Cu Kα)).
Neutral-atom scattering factors, no anomalous dispersion.

The 10 most intense peaks (10° ≤ 2θ ≤ 90°), in order of rising 2θ:
- 2θ = 13.80°, d = 6.419 Å, I = 86
- 2θ = 19.71°, d = 4.503 Å, I = 70
- 2θ = 25.05°, d = 3.555 Å, I = 48
- 2θ = 27.88°, d = 3.201 Å, I = 100
- 2θ = 28.86°, d = 3.093 Å, I = 65
- 2θ = 39.17°, d = 2.300 Å, I = 55
- 2θ = 43.25°, d = 2.092 Å, I = 51
- 2θ = 49.39°, d = 1.845 Å, I = 58
- 2θ = 52.89°, d = 1.731 Å, I = 45
- 2θ = 54.57°, d = 1.682 Å, I = 46

```
data_MgZn2Ni4S10
_chemical_formula_sum 'Mg1 Zn2 Ni4 S10'
_symmetry_space_group_name_H-M 'P 1 m 1'
_symmetry_Int_Tables_number 6
_symmetry_space_group_name_Hall 'P -2y'
_cell_length_a 6.4254
_cell_length_b 3.6903
_cell_length_c 13.2363
_cell_angle_alpha 90.00
_cell_angle_beta 92.62
_cell_angle_gamma 90.00
loop_
_atom_site_label
_atom_site_type_symbol
_atom_site_fract_x
_atom_site_fract_y
_atom_site_fract_z
Mg1 Mg 0.0000 0.0000 0.0000
Zn1 Zn 0.0525 0.5000 0.6695
Zn2 Zn 0.8295 0.0000 0.2932
Ni1 Ni 0.4059 0.5000 0.3711
Ni2 Ni 0.4386 0.5000 0.0835
Ni3 Ni 0.4470 0.0000 0.8759
Ni4 Ni 0.4767 0.0000 0.5884
S1 S 0.0895 0.5000 0.2964
S2 S 0.1149 0.5000 0.1312
S3 S 0.2595 0.5000 0.9317
S4 S 0.2868 0.0000 0.7257
S5 S 0.3090 0.5000 0.5336
S6 S 0.5722 0.0000 0.4265
S7 S 0.5970 0.5000 0.2338
S8 S 0.6074 0.0000 0.0295
S9 S 0.7613 0.0000 0.8276
S10 S 0.7891 0.0000 0.6671
```

=====

Structure and simulated powder diffractogram of MgZn2Ni4S10 (a PBE-relaxed structure; λ = 1.5418 Å (Cu Kα)).
Neutral-atom scattering factors, no anomalous dispersion.

The 10 most intense peaks (10° ≤ 2θ ≤ 90°), in order of rising 2θ:
- 2θ = 13.28°, d = 6.669 Å, I = 24
- 2θ = 13.76°, d = 6.434 Å, I = 75
- 2θ = 19.17°, d = 4.631 Å, I = 100
- 2θ = 28.05°, d = 3.182 Å, I = 20
- 2θ = 28.93°, d = 3.086 Å, I = 45
- 2θ = 30.18°, d = 2.961 Å, I = 28
- 2θ = 39.77°, d = 2.266 Å, I = 51
- 2θ = 42.73°, d = 2.116 Å, I = 29
- 2θ = 49.94°, d = 1.826 Å, I = 42
- 2θ = 53.76°, d = 1.705 Å, I = 26

```
data_MgZn2Ni4S10
_chemical_formula_sum 'Mg1 Zn2 Ni4 S10'
_symmetry_space_group_name_H-M 'P 1'
_symmetry_Int_Tables_number 1
_symmetry_space_group_name_Hall 'P 1'
_cell_length_a 3.6523
_cell_length_b 6.4344
_cell_length_c 13.3396
_cell_angle_alpha 89.77
_cell_angle_beta 89.46
_cell_angle_gamma 89.79
loop_
_atom_site_label
_atom_site_type_symbol
_atom_site_fract_x
_atom_site_fract_y
_atom_site_fract_z
Mg1 Mg 0.0000 0.0000 0.0000
Zn1 Zn 0.4999 0.7292 0.4993
Zn2 Zn 0.9974 0.5668 0.0029
Ni1 Ni 0.0010 0.1581 0.6444
Ni2 Ni 0.4957 0.1352 0.8499
Ni3 Ni 0.5029 0.1323 0.1513
Ni4 Ni 0.9970 0.1593 0.3574
S1 S 0.0016 0.2927 0.2028
S2 S 0.0016 0.4758 0.5802
S3 S 0.4845 0.7966 0.8934
S4 S 0.4976 0.3074 0.0005
S5 S 0.4998 0.9939 0.6984
S6 S 0.4997 0.9971 0.3046
S7 S 0.5183 0.7937 0.1061
S8 S 0.9953 0.4773 0.4218
S9 S 0.9957 0.2956 0.7978
S10 S 0.9995 0.9784 0.5010
```

=====

Structure and simulated powder diffractogram of MgZn2Ni4S8 (a PBE-relaxed structure; λ = 1.5418 Å (Cu Kα)).
Neutral-atom scattering factors, no anomalous dispersion.

The 10 most intense peaks (10° ≤ 2θ ≤ 90°), in order of rising 2θ:
- 2θ = 25.94°, d = 3.435 Å, I = 42
- 2θ = 30.00°, d = 2.979 Å, I = 89
- 2θ = 30.46°, d = 2.935 Å, I = 49
- 2θ = 36.24°, d = 2.479 Å, I = 100
- 2θ = 39.97°, d = 2.255 Å, I = 23
- 2θ = 46.78°, d = 1.942 Å, I = 39
- 2θ = 48.35°, d = 1.882 Å, I = 25
- 2θ = 51.00°, d = 1.791 Å, I = 62
- 2θ = 53.12°, d = 1.724 Å, I = 20
- 2θ = 53.34°, d = 1.717 Å, I = 82

```
data_MgZn2Ni4S8
_chemical_formula_sum 'Mg2 Zn4 Ni8 S16'
_symmetry_space_group_name_H-M 'C 1 2/m 1'
_symmetry_Int_Tables_number 12
_symmetry_space_group_name_Hall '-C 2y'
_cell_length_a 11.8947
_cell_length_b 6.8721
_cell_length_c 7.1795
_cell_angle_alpha 90.00
_cell_angle_beta 123.59
_cell_angle_gamma 90.00
loop_
_atom_site_label
_atom_site_type_symbol
_atom_site_fract_x
_atom_site_fract_y
_atom_site_fract_z
Mg1 Mg 0.0000 0.0000 0.0000
Zn1 Zn 0.1487 0.0000 0.4462
Ni1 Ni 0.0000 0.5000 0.0000
Ni2 Ni 0.0000 0.5000 0.5000
Ni3 Ni 0.2500 0.2500 0.0000
S1 S 0.0088 0.2677 0.7587
S2 S 0.2254 0.5000 0.1757
S3 S 0.2412 0.5000 0.7586
```